[1]
For TlCO2, a cell relaxed with PBE gives the calculated X-ray diffraction stick pattern in this record (λ = 1.5418 Å (Cu Kα)).

Structural model:
Cell: 6.8118 6.0062 6.9417 Å, 90.00 99.48 90.00°
Element x y z (fractional)
Tl (0.1958, 0.0536, 0.3154)
Tl (0.1958, 0.4464, 0.8154)
Tl (0.8042, 0.5536, 0.1846)
Tl (0.8042, 0.9464, 0.6846)
C (0.4293, 0.5921, 0.4464)
C (0.4293, 0.9079, 0.9464)
C (0.5707, 0.0921, 0.0536)
C (0.5707, 0.4079, 0.5536)
O (0.2441, 0.5728, 0.4466)
O (0.2441, 0.9272, 0.9466)
O (0.4888, 0.2491, 0.6330)
O (0.4888, 0.2509, 0.1330)
O (0.5112, 0.7491, 0.8670)
O (0.5112, 0.7509, 0.3670)
O (0.7559, 0.0728, 0.0534)
O (0.7559, 0.4272, 0.5534)

Largest 10 diffraction maxima, most intense first, 15 to 90 degrees two-theta:
| two_theta | I_rel |
| --- | --- |
| 24.93 | 100 |
| 22.50 | 53 |
| 27.22 | 46 |
| 31.42 | 40 |
| 40.28 | 31 |
| 26.53 | 26 |
| 42.37 | 25 |
| 29.75 | 21 |
| 32.56 | 21 |
| 40.76 | 19 |

[2]
For LaGaO3, a cell relaxed with PBE gives the calculated X-ray diffraction stick pattern in this record (λ = 1.5418 Å (Cu Kα)).

Structural model:
Cell: 5.5887 7.8786 5.5592 Å, 90.00 90.00 90.00°
Element x y z (fractional)
La (0.0335, 0.2500, 0.0077)
La (0.4665, 0.7500, 0.5077)
La (0.5335, 0.2500, 0.4923)
La (0.9665, 0.7500, 0.9923)
Ga (0.0000, 0.0000, 0.5000)
Ga (0.0000, 0.5000, 0.5000)
Ga (0.5000, 0.0000, 0.0000)
Ga (0.5000, 0.5000, 0.0000)
O (0.0154, 0.7500, 0.4234)
O (0.2152, 0.5412, 0.7838)
O (0.2152, 0.9588, 0.7838)
O (0.2848, 0.0412, 0.2838)
O (0.2848, 0.4588, 0.2838)
O (0.4846, 0.2500, 0.9234)
O (0.5154, 0.7500, 0.0766)
O (0.7152, 0.5412, 0.7162)
O (0.7152, 0.9588, 0.7162)
O (0.7848, 0.0412, 0.2162)
O (0.7848, 0.4588, 0.2162)
O (0.9846, 0.2500, 0.5766)

Largest 10 diffraction maxima, most intense first, 15 to 90 degrees two-theta:
| two_theta | I_rel |
| --- | --- |
| 32.11 | 100 |
| 46.07 | 34 |
| 57.36 | 27 |
| 57.18 | 21 |
| 32.20 | 20 |
| 76.44 | 12 |
| 67.20 | 12 |
| 22.56 | 9 |
| 39.69 | 6 |
| 39.54 | 5 |

[3]
For Fe3AgSn2S8, a cell relaxed with PBE gives the calculated X-ray diffraction stick pattern in this record (λ = 1.5418 Å (Cu Kα)).

Structural model:
Cell: 7.2463 7.2463 7.2463 Å, 121.55 118.75 89.76°
Element x y z (fractional)
Fe (0.0000, 0.0000, 0.0000)
Fe (0.6188, 0.3723, 0.7535)
Fe (0.6188, 0.8654, 0.2465)
Ag (0.2233, 0.7233, 0.5000)
Sn (0.1232, 0.3687, 0.7544)
Sn (0.6143, 0.3687, 0.2456)
S (0.3987, 0.1179, 0.2808)
S (0.4002, 0.1469, 0.7467)
S (0.4002, 0.6535, 0.2533)
S (0.4180, 0.6171, 0.8009)
S (0.8162, 0.6171, 0.1991)
S (0.8371, 0.1179, 0.7192)
S (0.8481, 0.0885, 0.2404)
S (0.8481, 0.6077, 0.7596)

Largest 10 diffraction maxima, most intense first, 15 to 90 degrees two-theta:
| two_theta | I_rel |
| --- | --- |
| 28.63 | 100 |
| 50.40 | 82 |
| 28.98 | 56 |
| 45.81 | 43 |
| 29.31 | 43 |
| 35.13 | 42 |
| 24.58 | 32 |
| 15.21 | 30 |
| 46.54 | 23 |
| 25.17 | 23 |

[4]
For RbSmI3, a cell relaxed with PBE gives the calculated X-ray diffraction stick pattern in this record (λ = 1.5418 Å (Cu Kα)).

Structural model:
Cell: 8.6141 8.6141 11.9488 Å, 90.00 90.00 151.01°
Element x y z (fractional)
Rb (0.2491, 0.7509, 0.7500)
Rb (0.7509, 0.2491, 0.2500)
Sm (0.5000, 0.5000, 0.0000)
Sm (0.5000, 0.5000, 0.5000)
I (0.1362, 0.8638, 0.0525)
I (0.1362, 0.8638, 0.4475)
I (0.4370, 0.5630, 0.2500)
I (0.5630, 0.4370, 0.7500)
I (0.8638, 0.1362, 0.5525)
I (0.8638, 0.1362, 0.9475)

Largest 10 diffraction maxima, most intense first, 15 to 90 degrees two-theta:
| two_theta | I_rel |
| --- | --- |
| 26.15 | 100 |
| 27.22 | 66 |
| 24.77 | 61 |
| 30.20 | 59 |
| 35.62 | 44 |
| 29.91 | 38 |
| 37.25 | 38 |
| 56.15 | 32 |
| 31.04 | 31 |
| 41.91 | 31 |

[5]
For PrHo3, a cell relaxed with PBE gives the calculated X-ray diffraction stick pattern in this record (λ = 1.5418 Å (Cu Kα)).

Structural model:
Cell: 5.0585 5.0585 5.0585 Å, 90.00 90.00 90.00°
Element x y z (fractional)
Pr (0.0000, 0.0000, 0.0000)
Ho (0.0000, 0.5000, 0.5000)
Ho (0.5000, 0.0000, 0.5000)
Ho (0.5000, 0.5000, 0.0000)

Largest 8 diffraction maxima, most intense first, 15 to 90 degrees two-theta:
| two_theta | I_rel |
| --- | --- |
| 30.61 | 100 |
| 35.49 | 51 |
| 60.72 | 43 |
| 51.07 | 36 |
| 83.26 | 18 |
| 85.93 | 17 |
| 63.73 | 12 |
| 75.12 | 6 |

[6]
For Pr3Pd4, a cell relaxed with PBE gives the calculated X-ray diffraction stick pattern in this record (λ = 1.5418 Å (Cu Kα)).

Structural model:
Cell: 8.2315 8.2315 8.2315 Å, 114.50 114.50 114.50°
Element x y z (fractional)
Pr (0.0275, 0.2794, 0.4044)
Pr (0.2794, 0.4044, 0.0275)
Pr (0.4044, 0.0275, 0.2794)
Pr (0.5956, 0.9725, 0.7206)
Pr (0.7206, 0.5956, 0.9725)
Pr (0.9725, 0.7206, 0.5956)
Pd (0.0000, 0.0000, 0.0000)
Pd (0.0585, 0.5529, 0.2222)
Pd (0.2222, 0.0585, 0.5529)
Pd (0.4471, 0.7778, 0.9415)
Pd (0.5000, 0.5000, 0.5000)
Pd (0.5529, 0.2222, 0.0585)
Pd (0.7778, 0.9415, 0.4471)
Pd (0.9415, 0.4471, 0.7778)

Largest 10 diffraction maxima, most intense first, 15 to 90 degrees two-theta:
| two_theta | I_rel |
| --- | --- |
| 34.27 | 100 |
| 36.40 | 70 |
| 30.88 | 36 |
| 40.95 | 18 |
| 36.04 | 17 |
| 50.85 | 16 |
| 48.71 | 12 |
| 31.29 | 12 |
| 62.52 | 11 |
| 77.29 | 11 |

[7]
For KNdH2S2O9, a cell relaxed with PBE gives the calculated X-ray diffraction stick pattern in this record (λ = 1.5418 Å (Cu Kα)).

Structural model:
Cell: 10.1099 8.6432 10.6168 Å, 90.00 117.40 90.00°
Element x y z (fractional)
K (0.2265, 0.1897, 0.2017)
K (0.2265, 0.3103, 0.7017)
K (0.7735, 0.6897, 0.2983)
K (0.7735, 0.8103, 0.7983)
Nd (0.2619, 0.6561, 0.0281)
Nd (0.2619, 0.8439, 0.5281)
Nd (0.7381, 0.1561, 0.4719)
Nd (0.7381, 0.3439, 0.9719)
H (0.2275, 0.5230, 0.4262)
H (0.2275, 0.9770, 0.9262)
H (0.3895, 0.5127, 0.5477)
H (0.3895, 0.9873, 0.0477)
H (0.6105, 0.0127, 0.9523)
H (0.6105, 0.4873, 0.4523)
H (0.7725, 0.0230, 0.0738)
H (0.7725, 0.4770, 0.5738)
S (0.0473, 0.6309, 0.1731)
S (0.0473, 0.8691, 0.6731)
S (0.4757, 0.6820, 0.8828)
S (0.4757, 0.8180, 0.3828)
S (0.5243, 0.1820, 0.6172)
S (0.5243, 0.3180, 0.1172)
S (0.9527, 0.1309, 0.3269)
S (0.9527, 0.3691, 0.8269)
O (0.0498, 0.7455, 0.0683)
O (0.0498, 0.7545, 0.5683)
O (0.0677, 0.7080, 0.3060)
O (0.0677, 0.7920, 0.8060)
O (0.0990, 0.0504, 0.3871)
O (0.0990, 0.4496, 0.8871)
O (0.1718, 0.5200, 0.2030)
O (0.1718, 0.9800, 0.7030)
O (0.2884, 0.5433, 0.5279)
O (0.2884, 0.9567, 0.0279)
O (0.3335, 0.5946, 0.8398)
O (0.3335, 0.9054, 0.3398)
O (0.4038, 0.0794, 0.6102)
O (0.4038, 0.4206, 0.1102)
O (0.4536, 0.6949, 0.2767)
O (0.4536, 0.8051, 0.7767)
O (0.4859, 0.2482, 0.9759)
O (0.4859, 0.2518, 0.4759)
O (0.5141, 0.7482, 0.5241)
O (0.5141, 0.7518, 0.0241)
O (0.5464, 0.1949, 0.2233)
O (0.5464, 0.3051, 0.7233)
O (0.5962, 0.5794, 0.8898)
O (0.5962, 0.9206, 0.3898)
O (0.6665, 0.0946, 0.6602)
O (0.6665, 0.4054, 0.1602)
O (0.7116, 0.0433, 0.9721)
O (0.7116, 0.4567, 0.4721)
O (0.8282, 0.0200, 0.2970)
O (0.8282, 0.4800, 0.7970)
O (0.9010, 0.5504, 0.1129)
O (0.9010, 0.9496, 0.6129)
O (0.9323, 0.2080, 0.1940)
O (0.9323, 0.2920, 0.6940)
O (0.9502, 0.2455, 0.4317)
O (0.9502, 0.2545, 0.9317)

Largest 10 diffraction maxima, most intense first, 15 to 90 degrees two-theta:
| two_theta | I_rel |
| --- | --- |
| 26.45 | 100 |
| 28.91 | 96 |
| 27.13 | 85 |
| 32.50 | 37 |
| 33.86 | 32 |
| 48.76 | 28 |
| 20.55 | 27 |
| 28.08 | 26 |
| 20.08 | 23 |
| 34.01 | 22 |

[8]
For DyReB4, a cell relaxed with PBE gives the calculated X-ray diffraction stick pattern in this record (λ = 1.5418 Å (Cu Kα)).

Structural model:
Cell: 5.9722 11.5608 3.6216 Å, 90.00 90.00 90.00°
Element x y z (fractional)
Dy (0.1260, 0.1503, 0.0000)
Dy (0.3740, 0.6503, 0.0000)
Dy (0.6260, 0.3497, 0.0000)
Dy (0.8740, 0.8497, 0.0000)
Re (0.1326, 0.4126, 0.0000)
Re (0.3674, 0.9126, 0.0000)
Re (0.6326, 0.0874, 0.0000)
Re (0.8674, 0.5874, 0.0000)
B (0.0226, 0.6920, 0.5000)
B (0.1137, 0.5472, 0.5000)
B (0.1362, 0.9686, 0.5000)
B (0.2126, 0.8153, 0.5000)
B (0.2874, 0.3153, 0.5000)
B (0.3638, 0.4686, 0.5000)
B (0.3863, 0.0472, 0.5000)
B (0.4774, 0.1920, 0.5000)
B (0.5226, 0.8080, 0.5000)
B (0.6137, 0.9528, 0.5000)
B (0.6362, 0.5314, 0.5000)
B (0.7126, 0.6847, 0.5000)
B (0.7874, 0.1847, 0.5000)
B (0.8638, 0.0314, 0.5000)
B (0.8863, 0.4528, 0.5000)
B (0.9774, 0.3080, 0.5000)

Largest 10 diffraction maxima, most intense first, 15 to 90 degrees two-theta:
| two_theta | I_rel |
| --- | --- |
| 39.90 | 100 |
| 24.58 | 98 |
| 30.93 | 84 |
| 45.89 | 45 |
| 38.13 | 33 |
| 42.80 | 33 |
| 60.31 | 26 |
| 34.47 | 25 |
| 50.39 | 21 |
| 37.25 | 15 |

[9]
For Nb2CS, a cell relaxed with PBE gives the calculated X-ray diffraction stick pattern in this record (λ = 1.5418 Å (Cu Kα)).

Structural model:
Cell: 3.3436 3.3436 11.5809 Å, 90.00 90.00 120.00°
Element x y z (fractional)
Nb (0.3333, 0.6667, 0.0947)
Nb (0.3333, 0.6667, 0.4053)
Nb (0.6667, 0.3333, 0.5947)
Nb (0.6667, 0.3333, 0.9053)
C (0.0000, 0.0000, 0.0000)
C (0.0000, 0.0000, 0.5000)
S (0.3333, 0.6667, 0.7500)
S (0.6667, 0.3333, 0.2500)

Largest 10 diffraction maxima, most intense first, 15 to 90 degrees two-theta:
| two_theta | I_rel |
| --- | --- |
| 38.88 | 100 |
| 30.88 | 35 |
| 54.92 | 26 |
| 31.86 | 20 |
| 69.32 | 17 |
| 75.19 | 15 |
| 57.37 | 13 |
| 15.30 | 11 |
| 64.91 | 10 |
| 47.08 | 10 |

[10]
For GeI2, a cell relaxed with PBE gives the calculated X-ray diffraction stick pattern in this record (λ = 1.5418 Å (Cu Kα)).

Structural model:
Cell: 4.3074 4.3074 24.6120 Å, 90.00 90.00 120.00°
Element x y z (fractional)
Ge (0.0000, 0.0000, 0.0000)
Ge (0.3333, 0.6667, 0.3314)
Ge (0.6667, 0.3333, 0.6686)
I (0.0000, 0.0000, 0.2608)
I (0.0000, 0.0000, 0.7392)
I (0.3333, 0.6667, 0.0706)
I (0.3333, 0.6667, 0.5979)
I (0.6667, 0.3333, 0.4021)
I (0.6667, 0.3333, 0.9294)

Largest 10 diffraction maxima, most intense first, 15 to 90 degrees two-theta:
| two_theta | I_rel |
| --- | --- |
| 27.97 | 100 |
| 24.94 | 40 |
| 41.95 | 36 |
| 37.91 | 34 |
| 35.07 | 24 |
| 51.18 | 18 |
| 47.38 | 17 |
| 68.24 | 15 |
| 21.66 | 14 |
| 72.41 | 12 |